Calculated powder X-ray diffraction pattern of CaMoO3 for Cu Kα (λ = 1.5418 Å), from DFT lattice parameters and positions (PBE+U).
Kinematic intensities with the Lorentz-polarization factor, no thermal factor.

Atomic structure:
```
data_CaMoO3
_symmetry_space_group_name_H-M 'P -1'
_symmetry_Int_Tables_number 2
_cell_length_a 5.505
_cell_length_b 5.730
_cell_length_c 7.986
_cell_angle_alpha 89.80
_cell_angle_beta 89.89
_cell_angle_gamma 89.27
loop_
_symmetry_equiv_pos_as_xyz
'x,y,z'
'-x,-y,-z'
loop_
_atom_site_label
_atom_site_type_symbol
_atom_site_fract_x
_atom_site_fract_y
_atom_site_fract_z
_atom_site_occupancy
Ca1 Ca 0.010 0.048 0.252 1
Ca2 Ca 0.486 0.556 0.251 1
Mo1 Mo 0.000 0.500 0.000 1
Mo2 Mo 0.000 0.500 0.500 1
Mo3 Mo 0.500 0.000 0.000 1
Mo4 Mo 0.500 0.000 0.500 1
O1 O 0.102 0.542 0.755 1
O2 O 0.190 0.791 0.057 1
O3 O 0.193 0.794 0.448 1
O4 O 0.288 0.310 0.048 1
O5 O 0.302 0.300 0.444 1
O6 O 0.398 0.040 0.743 1
```

Principal peaks in the range 2θ from 5° to 70°, by intensity:
- (1 -1 2), 31.89 deg, rel. 1000
- (1 1 0), 22.26 deg, rel. 744
- (0 0 4), 45.42 deg, rel. 612
- (1 1 2), 31.62 deg, rel. 529
- (1 1 -2), 31.74 deg, rel. 510
- (0 2 0), 31.22 deg, rel. 503
- (2 0 0), 32.53 deg, rel. 444
- (1 -1 0), 22.54 deg, rel. 380
- (2 -2 0), 46.02 deg, rel. 276
- (3 -1 2), 57.77 deg, rel. 251